Theoretical XRD peak list of MnTc2O6 for copper Kα, from a crystal structure in Alexandria, relaxed with GGA+U.
Neutral-atom scattering factors, no anomalous dispersion.

Most intense lines, 10° ≤ 2θ ≤ 90°, in order of rising 2θ:
two_theta  intensity  (hkl)
20.38  106  1 1 0
28.55  1000  1 1 1
30.96  82  0 2 1
35.69  379  3 0 0
41.14  81  0 3 1
46.33  248  2 2 1
54.82  436  3 0 2
59.82  222  4 1 1
64.12  155  3 3 0
66.03  87  1 1 3
82.70  80  2 5 1
89.28  91  0 6 2

Structure:
a = 8.714 Å, b = 8.714 Å, c = 4.488 Å
α = 90.00°, β = 90.00°, γ = 120.00°
Atoms (fractional coordinates):
Mn (0.000, 0.000, 0.000)
Mn (0.333, 0.667, 0.501)
Mn (0.667, 0.333, 0.499)
Tc (0.000, 0.321, 0.500)
Tc (0.000, 0.654, 0.000)
Tc (0.321, 0.000, 0.500)
Tc (0.346, 0.346, 0.000)
Tc (0.654, 0.000, 0.000)
Tc (0.679, 0.679, 0.500)
O (0.094, 0.539, 0.749)
O (0.116, 0.878, 0.755)
O (0.122, 0.238, 0.755)
O (0.208, 0.781, 0.253)
O (0.219, 0.427, 0.253)
O (0.238, 0.122, 0.245)
O (0.427, 0.219, 0.747)
O (0.445, 0.906, 0.749)
O (0.461, 0.555, 0.749)
O (0.539, 0.094, 0.251)
O (0.555, 0.461, 0.251)
O (0.573, 0.792, 0.253)
O (0.762, 0.884, 0.755)
O (0.781, 0.208, 0.747)
O (0.792, 0.573, 0.747)
O (0.878, 0.116, 0.245)
O (0.884, 0.762, 0.245)
O (0.906, 0.445, 0.251)